[1]
Computed powder XRD pattern of Y3AlNi8 for Cu Kα (λ = 1.5418 Å), from DFT lattice parameters and positions (GGA-PBE).

The 10 most intense peaks (10° ≤ 2θ ≤ 80°), sorted by position:
- 2θ 21.0, I 21
- 2θ 33.9, I 25
- 2θ 35.6, I 37
- 2θ 41.7, I 26
- 2θ 41.9, I 100
- 2θ 43.4, I 36
- 2θ 44.6, I 82
- 2θ 47.0, I 19
- 2θ 68.2, I 22
- 2θ 75.3, I 27

Cell: 5.0474 5.0474 16.6071 Å, 90.00 90.00 120.00°
Sites, in units of the cell vectors:
Y 0.3333 0.6667 0.0476
Y 0.3333 0.6667 0.4524
Y 0.3333 0.6667 0.7500
Y 0.6667 0.3333 0.2500
Y 0.6667 0.3333 0.5476
Y 0.6667 0.3333 0.9524
Al 0.3333 0.6667 0.2500
Al 0.6667 0.3333 0.7500
Ni 0.0000 0.0000 0.0000
Ni 0.0000 0.0000 0.2500
Ni 0.0000 0.0000 0.5000
Ni 0.0000 0.0000 0.7500
Ni 0.1621 0.3242 0.6198
Ni 0.1621 0.3242 0.8802
Ni 0.1621 0.8379 0.6198
Ni 0.1621 0.8379 0.8802
Ni 0.3242 0.1621 0.1198
Ni 0.3242 0.1621 0.3802
Ni 0.6758 0.8379 0.6198
Ni 0.6758 0.8379 0.8802
Ni 0.8379 0.1621 0.1198
Ni 0.8379 0.1621 0.3802
Ni 0.8379 0.6758 0.1198
Ni 0.8379 0.6758 0.3802

[2]
Computed powder XRD pattern of Tl3CdCl6 for Cu Kα (λ = 1.5418 Å), from DFT lattice parameters and positions (GGA-PBE).

The 10 most intense peaks (10° ≤ 2θ ≤ 80°), sorted by position:
- 2θ 23.5, I 100
- 2θ 28.9, I 9
- 2θ 33.5, I 43
- 2θ 41.3, I 47
- 2θ 48.1, I 31
- 2θ 54.2, I 22
- 2θ 59.8, I 10
- 2θ 65.2, I 25
- 2θ 70.3, I 5
- 2θ 75.3, I 13

Cell: 7.5739 7.5739 7.5739 Å, 60.00 60.00 60.00°
Sites, in units of the cell vectors:
Tl 0.0000 0.0000 0.0000
Tl 0.2500 0.2500 0.2500
Tl 0.7500 0.7500 0.7500
Cd 0.5000 0.5000 0.5000
Cl 0.2568 0.2568 0.7432
Cl 0.2568 0.7432 0.2568
Cl 0.2568 0.7432 0.7432
Cl 0.7432 0.2568 0.2568
Cl 0.7432 0.2568 0.7432
Cl 0.7432 0.7432 0.2568

[3]
Computed powder XRD pattern of ReBi3O8 for Cu Kα (λ = 1.5418 Å), from DFT lattice parameters and positions (GGA-PBE).

The 10 most intense peaks (10° ≤ 2θ ≤ 80°), sorted by position:
- 2θ 26.9, I 100
- 2θ 31.1, I 41
- 2θ 43.1, I 6
- 2θ 44.6, I 38
- 2θ 52.9, I 38
- 2θ 55.4, I 9
- 2θ 59.1, I 5
- 2θ 71.6, I 12
- 2θ 73.8, I 10
- 2θ 77.0, I 6

Cell: 9.9498 9.9498 9.9498 Å, 109.47 109.47 109.47°
Sites, in units of the cell vectors:
Re 0.0000 0.2591 0.5000
Re 0.2409 0.2409 0.2409
Re 0.2591 0.5000 0.0000
Re 0.5000 0.0000 0.2591
Bi 0.2386 0.9925 0.5241
Bi 0.2614 0.7855 0.7539
Bi 0.5075 0.7461 0.5316
Bi 0.5241 0.2386 0.9925
Bi 0.5316 0.5075 0.7461
Bi 0.7145 0.9759 0.9684
Bi 0.7461 0.5316 0.5075
Bi 0.7539 0.2614 0.7855
Bi 0.7855 0.7539 0.2614
Bi 0.9684 0.7145 0.9759
Bi 0.9759 0.9684 0.7145
Bi 0.9925 0.5241 0.2386
O 0.0000 0.4366 0.5000
O 0.0000 0.9528 0.5000
O 0.0247 0.7747 0.2500
O 0.0634 0.0634 0.0634
O 0.1103 0.2996 0.9312
O 0.1790 0.5688 0.8684
O 0.1893 0.3897 0.3210
O 0.2004 0.3107 0.6316
O 0.2500 0.0247 0.7747
O 0.2500 0.7797 0.5297
O 0.2996 0.9312 0.1103
O 0.3107 0.6316 0.2004
O 0.3210 0.1893 0.3897
O 0.3897 0.3210 0.1893
O 0.4366 0.5000 0.0000
O 0.4753 0.7253 0.7500
O 0.5000 0.0000 0.4366
O 0.5000 0.0000 0.9528
O 0.5297 0.2500 0.7797
O 0.5472 0.5472 0.5472
O 0.5688 0.8684 0.1790
O 0.6316 0.2004 0.3107
O 0.7203 0.9703 0.7500
O 0.7253 0.7500 0.4753
O 0.7500 0.4753 0.7253
O 0.7500 0.7203 0.9703
O 0.7747 0.2500 0.0247
O 0.7797 0.5297 0.2500
O 0.8684 0.1790 0.5688
O 0.9312 0.1103 0.2996
O 0.9528 0.5000 0.0000
O 0.9703 0.7500 0.7203

[4]
Computed powder XRD pattern of CsRbPdBr4 for Cu Kα (λ = 1.5418 Å), from DFT lattice parameters and positions (GGA-PBE).

The 10 most intense peaks (10° ≤ 2θ ≤ 80°), sorted by position:
- 2θ 11.2, I 23
- 2θ 11.7, I 46
- 2θ 18.9, I 23
- 2θ 22.0, I 28
- 2θ 25.0, I 100
- 2θ 29.5, I 51
- 2θ 30.3, I 51
- 2θ 32.8, I 87
- 2θ 38.3, I 31
- 2θ 51.2, I 48

Cell: 4.7036 7.5828 7.8919 Å, 90.00 90.00 90.00°
Sites, in units of the cell vectors:
Cs 0.0000 0.0000 0.0000
Rb 0.0000 0.5000 0.5000
Pd 0.5000 0.0000 0.5000
Br 0.5000 0.2324 0.2793
Br 0.5000 0.2324 0.7207
Br 0.5000 0.7676 0.2793
Br 0.5000 0.7676 0.7207

[5]
Computed powder XRD pattern of Er2Cu2SnGe for Cu Kα (λ = 1.5418 Å), from DFT lattice parameters and positions (GGA-PBE).

The 10 most intense peaks (10° ≤ 2θ ≤ 80°), sorted by position:
- 2θ 23.4, I 16
- 2θ 26.5, I 8
- 2θ 34.4, I 100
- 2θ 41.1, I 60
- 2θ 44.9, I 10
- 2θ 54.6, I 27
- 2θ 56.9, I 7
- 2θ 67.6, I 15
- 2θ 70.6, I 25
- 2θ 74.8, I 10

Cell: 4.3955 4.3955 7.1489 Å, 90.00 90.00 120.00°
Sites, in units of the cell vectors:
Er 0.0000 0.0000 0.0000
Er 0.0000 0.0000 0.4818
Cu 0.3333 0.6667 0.6690
Cu 0.6667 0.3333 0.1903
Sn 0.6667 0.3333 0.7617
Ge 0.3333 0.6667 0.2674

[6]
Computed powder XRD pattern of AcNiPb for Cu Kα (λ = 1.5418 Å), from DFT lattice parameters and positions (GGA-PBE).

The 10 most intense peaks (10° ≤ 2θ ≤ 80°), sorted by position:
- 2θ 21.3, I 62
- 2θ 24.6, I 3
- 2θ 35.1, I 100
- 2θ 41.5, I 35
- 2θ 50.5, I 18
- 2θ 55.4, I 16
- 2θ 63.0, I 37
- 2θ 67.4, I 12
- 2θ 74.3, I 12
- 2θ 78.3, I 12

Cell: 5.1082 5.1082 5.1082 Å, 60.00 60.00 60.00°
Sites, in units of the cell vectors:
Ac 0.0000 0.0000 0.0000
Ni 0.5000 0.5000 0.5000
Pb 0.2500 0.2500 0.2500

[7]
Computed powder XRD pattern of InAu17 for Cu Kα (λ = 1.5418 Å), from DFT lattice parameters and positions (GGA-PBE).

The 10 most intense peaks (10° ≤ 2θ ≤ 80°), sorted by position:
- 2θ 34.6, I 23
- 2θ 37.4, I 100
- 2θ 38.3, I 77
- 2θ 43.4, I 69
- 2θ 45.1, I 19
- 2θ 61.9, I 23
- 2θ 64.3, I 20
- 2θ 64.4, I 21
- 2θ 75.1, I 23
- 2θ 76.9, I 18

Cell: 5.0107 5.7954 33.6861 Å, 90.00 90.02 90.00°
Sites, in units of the cell vectors:
In 0.1679 0.2500 0.2998
In 0.8321 0.7500 0.7002
Au 0.0000 0.0000 0.0000
Au 0.0000 0.5000 0.0000
Au 0.0005 0.5013 0.7815
Au 0.0005 0.9987 0.7815
Au 0.1659 0.7500 0.0728
Au 0.1671 0.2500 0.0732
Au 0.1675 0.7500 0.2930
Au 0.1677 0.7500 0.8544
Au 0.1690 0.2500 0.8544
Au 0.3320 0.0005 0.7068
Au 0.3320 0.4995 0.7068
Au 0.3322 0.5006 0.1458
Au 0.3322 0.9994 0.1458
Au 0.3337 0.9997 0.9272
Au 0.3337 0.5003 0.9272
Au 0.4980 0.2500 0.2186
Au 0.4990 0.2500 0.0000
Au 0.4994 0.7500 0.2187
Au 0.5006 0.2500 0.7813
Au 0.5010 0.7500 0.0000
Au 0.5020 0.7500 0.7814
Au 0.6663 0.0003 0.0728
Au 0.6663 0.4997 0.0728
Au 0.6680 0.9995 0.2932
Au 0.6678 0.0006 0.8542
Au 0.6678 0.4994 0.8542
Au 0.6680 0.5005 0.2932
Au 0.8310 0.7500 0.1456
Au 0.8323 0.2500 0.1456
Au 0.8325 0.2500 0.7070
Au 0.8329 0.7500 0.9268
Au 0.8341 0.2500 0.9272
Au 0.9995 0.0013 0.2185
Au 0.9995 0.4987 0.2185

[8]
Computed powder XRD pattern of Ba3SrNb2O9 for Cu Kα (λ = 1.5418 Å), from DFT lattice parameters and positions (GGA-PBE).

The 10 most intense peaks (10° ≤ 2θ ≤ 80°), sorted by position:
- 2θ 24.2, I 11
- 2θ 28.7, I 88
- 2θ 29.3, I 100
- 2θ 38.3, I 10
- 2θ 41.5, I 48
- 2θ 51.6, I 33
- 2θ 52.0, I 23
- 2θ 56.5, I 18
- 2θ 60.8, I 17
- 2θ 68.6, I 15

Cell: 6.0932 6.0932 15.4277 Å, 90.00 90.00 120.00°
Sites, in units of the cell vectors:
Ba 0.0000 0.0000 0.2500
Ba 0.0000 0.0000 0.7500
Ba 0.3333 0.6667 0.1189
Ba 0.3333 0.6667 0.3811
Ba 0.6667 0.3333 0.6189
Ba 0.6667 0.3333 0.8811
Sr 0.0000 0.0000 0.0000
Sr 0.0000 0.0000 0.5000
Nb 0.3333 0.6667 0.6534
Nb 0.3333 0.6667 0.8466
Nb 0.6667 0.3333 0.1534
Nb 0.6667 0.3333 0.3466
O 0.0368 0.4742 0.7500
O 0.1166 0.7655 0.5973
O 0.1166 0.7655 0.9027
O 0.2345 0.3511 0.5973
O 0.2345 0.3511 0.9027
O 0.3511 0.1166 0.0973
O 0.3511 0.1166 0.4027
O 0.4374 0.9632 0.7500
O 0.4742 0.4374 0.2500
O 0.5258 0.5626 0.7500
O 0.5626 0.0368 0.2500
O 0.6489 0.8834 0.5973
O 0.6489 0.8834 0.9027
O 0.7655 0.6489 0.0973
O 0.7655 0.6489 0.4027
O 0.8834 0.2345 0.0973
O 0.8834 0.2345 0.4027
O 0.9632 0.5258 0.2500

Number 3 is which compound? ReBi3O8